(1)
Simulated X-ray diffraction stick pattern of AcSmAg2Ge2 for copper Kα, from a PBE-relaxed structure.

The 6 most intense peaks (10° ≤ 2θ ≤ 90°), by intensity:
2theta  I_rel  index
31.7  100  0 1 2
39.3  51  1 1 0
51.3  26  2 0 2
66.5  24  1 2 2
61.4  22  1 1 4
22.4  13  1 0 0

Cell and atoms:
```
data_AcSmAg2Ge2
_cell_length_a 4.5867
_cell_length_b 4.5867
_cell_length_c 8.0260
_cell_angle_alpha 90.00
_cell_angle_beta 90.00
_cell_angle_gamma 120.00
_space_group_name_H-M_alt 'P -3 m 1'
_space_group_IT_number 164
_space_group_name_Hall '-P 3 2"'
loop_
_atom_site_label
_atom_site_type_symbol
_atom_site_fract_x
_atom_site_fract_y
_atom_site_fract_z
_atom_site_occupancy
Ac1 Ac 0.0000 0.0000 0.0000 1
Sm1 Sm 0.0000 0.0000 0.5000 1
Ag1 Ag 0.3333 0.6667 0.7193 1
Ge1 Ge 0.3333 0.6667 0.2663 1
```


(2)
Simulated X-ray diffraction stick pattern of Ac2ZnAg4Ge3 for copper Kα, from a PBE-relaxed structure.

The 6 most intense peaks (10° ≤ 2θ ≤ 90°), by intensity:
2theta  I_rel  index
32.4  100  1 1 2
31.4  64  1 0 3
40.0  52  2 0 0
51.7  32  2 1 3
45.8  31  1 0 5
57.8  30  2 2 0

Cell and atoms:
```
data_Ac2ZnAg4Ge3
_cell_length_a 4.511
_cell_length_b 4.511
_cell_length_c 11.037
_cell_angle_alpha 90.00
_cell_angle_beta 90.00
_cell_angle_gamma 90.00
_space_group_name_H-M_alt 'P -4 m 2'
_space_group_IT_number 115
loop_
_space_group_symop_operation_xyz
'x,y,z'
'y,-x,-z'
'-x,-y,z'
'-y,x,-z'
'-x,y,z'
'-y,-x,-z'
'x,-y,z'
'y,x,-z'
loop_
_atom_site_label
_atom_site_type_symbol
_atom_site_fract_x
_atom_site_fract_y
_atom_site_fract_z
_atom_site_occupancy
Ac1 Ac 0.000 0.500 0.246 1
Zn1 Zn 0.000 0.000 0.500 1
Ag1 Ag 0.000 0.000 0.000 1
Ag2 Ag 0.000 0.500 0.628 1
Ag3 Ag 0.500 0.500 0.000 1
Ge1 Ge 0.000 0.500 0.863 1
Ge2 Ge 0.500 0.500 0.500 1
```


(3)
Simulated X-ray diffraction stick pattern of AcAgH6Pt3 for copper Kα, from a PBE-relaxed structure.

The 6 most intense peaks (10° ≤ 2θ ≤ 90°), by intensity:
2theta  I_rel  index
36.6  100  2 -1 3
41.9  55  2 1 1
22.4  47  0 1 2
26.5  41  1 1 0
31.9  26  0 2 1
44.5  25  1 2 2

Cell and atoms:
```
data_AcAgH6Pt3
_cell_length_a 6.7183
_cell_length_b 6.7183
_cell_length_c 10.8275
_cell_angle_alpha 90.00
_cell_angle_beta 90.00
_cell_angle_gamma 120.00
_space_group_name_H-M_alt 'R 3'
_space_group_IT_number 146
_space_group_name_Hall 'R 3'
loop_
_atom_site_label
_atom_site_type_symbol
_atom_site_fract_x
_atom_site_fract_y
_atom_site_fract_z
_atom_site_occupancy
Ac1 Ac 0.0000 0.0000 0.0000 1
Ag1 Ag 0.0000 0.0000 0.6703 1
H1 H 0.0220 0.4329 0.9686 1
H2 H 0.0428 0.5040 0.4753 1
Pt1 Pt 0.0272 0.2508 0.4591 1
```


(4)
Simulated X-ray diffraction stick pattern of Ac2AgH12Rh3 for copper Kα, from a PBE-relaxed structure.

The 6 most intense peaks (10° ≤ 2θ ≤ 90°), by intensity:
2theta  I_rel  index
33.0  100  1 1 3
33.7  73  0 1 5
27.7  66  1 1 0
32.7  64  0 2 1
28.5  56  1 0 4
34.3  44  2 0 2

Cell and atoms:
```
data_Ac2AgH12Rh3
_cell_length_a 6.4352
_cell_length_b 6.4352
_cell_length_c 15.1330
_cell_angle_alpha 90.00
_cell_angle_beta 90.00
_cell_angle_gamma 120.00
_space_group_name_H-M_alt 'R -3 m'
_space_group_IT_number 166
_space_group_name_Hall '-R 3 2"'
loop_
_atom_site_label
_atom_site_type_symbol
_atom_site_fract_x
_atom_site_fract_y
_atom_site_fract_z
_atom_site_occupancy
Ac1 Ac 0.0000 0.0000 0.1169 1
Ag1 Ag 0.0000 0.0000 0.5000 1
H1 H 0.0046 0.5023 0.1122 1
H2 H 0.0416 0.5208 0.3390 1
Rh1 Rh 0.0000 0.5000 0.0000 1
```


(5)
Simulated X-ray diffraction stick pattern of AcAgH6Rh for copper Kα, from a PBE-relaxed structure.

The 6 most intense peaks (10° ≤ 2θ ≤ 90°), by intensity:
2theta  I_rel  index
28.7  100  1 0 1
36.5  46  1 1 0
54.9  29  1 1 2
47.1  26  2 0 1
61.0  24  2 1 1
39.5  12  0 0 2

Cell and atoms:
```
data_AcAgH6Rh
_cell_length_a 4.9177
_cell_length_b 4.9177
_cell_length_c 4.5586
_cell_angle_alpha 90.00
_cell_angle_beta 90.00
_cell_angle_gamma 120.00
_space_group_name_H-M_alt 'P -6 m 2'
_space_group_IT_number 187
_space_group_name_Hall 'P -6 2'
loop_
_atom_site_label
_atom_site_type_symbol
_atom_site_fract_x
_atom_site_fract_y
_atom_site_fract_z
_atom_site_occupancy
Ac1 Ac 0.0000 0.0000 0.0000 1
Ag1 Ag 0.6667 0.3333 0.5000 1
H1 H 0.0370 0.5185 0.2423 1
Rh1 Rh 0.3333 0.6667 0.5000 1
```


(6)
Simulated X-ray diffraction stick pattern of AcAgH6Ru for copper Kα, from a PBE-relaxed structure.

The 6 most intense peaks (10° ≤ 2θ ≤ 90°), by intensity:
2theta  I_rel  index
28.7  100  1 0 1
36.2  48  1 1 0
55.0  29  1 1 2
46.8  27  2 0 1
60.5  25  2 1 1
40.0  12  0 0 2

Cell and atoms:
```
data_AcAgH6Ru
_cell_length_a 4.9676
_cell_length_b 4.9676
_cell_length_c 4.5059
_cell_angle_alpha 90.00
_cell_angle_beta 90.00
_cell_angle_gamma 120.00
_space_group_name_H-M_alt 'P -6 m 2'
_space_group_IT_number 187
_space_group_name_Hall 'P -6 2'
loop_
_atom_site_label
_atom_site_type_symbol
_atom_site_fract_x
_atom_site_fract_y
_atom_site_fract_z
_atom_site_occupancy
Ac1 Ac 0.0000 0.0000 0.0000 1
Ag1 Ag 0.6667 0.3333 0.5000 1
H1 H 0.0463 0.5232 0.2377 1
Ru1 Ru 0.3333 0.6667 0.5000 1
```


(7)
Simulated X-ray diffraction stick pattern of AcAgSbH for copper Kα, from a PBE-relaxed structure.

The 6 most intense peaks (10° ≤ 2θ ≤ 90°), by intensity:
2theta  I_rel  index
29.0  100  1 0 2
35.1  78  1 1 2
39.4  67  2 0 0
29.6  61  1 1 1
49.6  46  2 1 2
27.6  43  1 1 0

Cell and atoms:
```
data_AcAgSbH
_cell_length_a 4.578
_cell_length_b 4.578
_cell_length_c 8.309
_cell_angle_alpha 90.00
_cell_angle_beta 90.00
_cell_angle_gamma 90.00
_space_group_name_H-M_alt 'P 4/n m m'
_space_group_IT_number 129
loop_
_space_group_symop_operation_xyz
'x,y,z'
'-x,-y,-z'
'-y+1/2,x,z'
'y+1/2,-x,-z'
'-x+1/2,-y+1/2,z'
'x+1/2,y+1/2,-z'
'y,-x+1/2,z'
'-y,x+1/2,-z'
'x+1/2,-y,-z'
'-x+1/2,y,z'
'-y,-x,-z'
'y,x,z'
'-x,y+1/2,-z'
'x,-y+1/2,z'
'y+1/2,x+1/2,-z'
'-y+1/2,-x+1/2,z'
loop_
_atom_site_label
_atom_site_type_symbol
_atom_site_fract_x
_atom_site_fract_y
_atom_site_fract_z
_atom_site_occupancy
Ac1 Ac 0.250 0.250 0.153 1
Ag1 Ag 0.250 0.750 0.500 1
Sb1 Sb 0.250 0.250 0.713 1
H1 H 0.250 0.750 0.000 1
```


(8)
Simulated X-ray diffraction stick pattern of AcAgSnH for copper Kα, from a PBE-relaxed structure.

The 6 most intense peaks (10° ≤ 2θ ≤ 90°), by intensity:
2theta  I_rel  index
29.9  100  1 0 1
36.7  54  1 1 0
57.8  29  1 1 2
48.1  28  2 0 1
62.0  26  2 1 1
43.0  12  0 0 2

Cell and atoms:
```
data_AcAgSnH
_cell_length_a 4.8911
_cell_length_b 4.8911
_cell_length_c 4.2055
_cell_angle_alpha 90.00
_cell_angle_beta 90.00
_cell_angle_gamma 120.00
_space_group_name_H-M_alt 'P -6 m 2'
_space_group_IT_number 187
_space_group_name_Hall 'P -6 2'
loop_
_atom_site_label
_atom_site_type_symbol
_atom_site_fract_x
_atom_site_fract_y
_atom_site_fract_z
_atom_site_occupancy
Ac1 Ac 0.0000 0.0000 0.0000 1
Ag1 Ag 0.6667 0.3333 0.5000 1
Sn1 Sn 0.3333 0.6667 0.5000 1
H1 H 0.6667 0.3333 0.0000 1
```


(9)
Simulated X-ray diffraction stick pattern of Ac2Ag6Hg3 for copper Kα, from a PBE-relaxed structure.

The 6 most intense peaks (10° ≤ 2θ ≤ 90°), by intensity:
2theta  I_rel  index
38.8  100  2 1 1
28.9  99  1 1 1
33.8  50  2 1 0
31.6  49  2 0 1
37.7  44  0 0 2
51.5  30  2 1 2

Cell and atoms:
```
data_Ac2Ag6Hg3
_cell_length_a 8.1078
_cell_length_b 8.1078
_cell_length_c 4.7741
_cell_angle_alpha 90.00
_cell_angle_beta 90.00
_cell_angle_gamma 120.00
_space_group_name_H-M_alt 'P -6 2 m'
_space_group_IT_number 189
_space_group_name_Hall 'P -6 -2'
loop_
_atom_site_label
_atom_site_type_symbol
_atom_site_fract_x
_atom_site_fract_y
_atom_site_fract_z
_atom_site_occupancy
Ac1 Ac 0.3333 0.6667 0.0000 1
Ag1 Ag 0.0000 0.2281 0.5000 1
Ag2 Ag 0.0000 0.7972 0.0000 1
Hg1 Hg 0.0000 0.5844 0.5000 1
```


(10)
Simulated X-ray diffraction stick pattern of Ac4AgHg for copper Kα, from a PBE-relaxed structure.

The 6 most intense peaks (10° ≤ 2θ ≤ 90°), by intensity:
2theta  I_rel  index
29.6  100  1 0 3
31.7  48  1 1 0
55.2  36  2 1 3
45.4  18  2 0 0
51.1  15  1 1 6
61.4  9  2 0 6

Cell and atoms:
```
data_Ac4AgHg
_cell_length_a 3.993
_cell_length_b 3.993
_cell_length_c 13.834
_cell_angle_alpha 90.00
_cell_angle_beta 90.00
_cell_angle_gamma 90.00
_space_group_name_H-M_alt 'P 4/m m m'
_space_group_IT_number 123
_space_group_name_Hall '-P 4 2'
loop_
_atom_site_label
_atom_site_type_symbol
_atom_site_fract_x
_atom_site_fract_y
_atom_site_fract_z
_atom_site_occupancy
Ac1 Ac 0.000 0.000 0.141 1
Ac2 Ac 0.500 0.500 0.352 1
Ag1 Ag 0.500 0.500 0.000 1
Hg1 Hg 0.000 0.000 0.500 1
```


(11)
Simulated X-ray diffraction stick pattern of Ac2AgHg4 for copper Kα, from a PBE-relaxed structure.

The 6 most intense peaks (10° ≤ 2θ ≤ 90°), by intensity:
2theta  I_rel  index
32.2  100  1 1 0
33.2  66  1 0 7
58.1  27  2 1 7
46.9  26  0 2 7
57.4  20  3 0 0
40.2  18  1 1 6

Cell and atoms:
```
data_Ac2AgHg4
_cell_length_a 5.5573
_cell_length_b 5.5573
_cell_length_c 22.8031
_cell_angle_alpha 90.00
_cell_angle_beta 90.00
_cell_angle_gamma 120.00
_space_group_name_H-M_alt 'R -3 m'
_space_group_IT_number 166
_space_group_name_Hall '-R 3 2"'
loop_
_atom_site_label
_atom_site_type_symbol
_atom_site_fract_x
_atom_site_fract_y
_atom_site_fract_z
_atom_site_occupancy
Ac1 Ac 0.0000 0.0000 0.2294 1
Ag1 Ag 0.0000 0.0000 0.5000 1
Hg1 Hg 0.0000 0.0000 0.0692 1
Hg2 Hg 0.0000 0.0000 0.3746 1
```


(12)
Simulated X-ray diffraction stick pattern of Ac2AgHg12 for copper Kα, from a PBE-relaxed structure.

The 6 most intense peaks (10° ≤ 2θ ≤ 90°), by intensity:
2theta  I_rel  index
27.6  100  2 0 2
36.4  56  2 2 0
36.8  40  2 0 5
65.8  34  4 0 7
41.0  28  2 0 6
36.5  27  1 1 6

Cell and atoms:
```
data_Ac2AgHg12
_cell_length_a 6.988
_cell_length_b 6.988
_cell_length_c 17.029
_cell_angle_alpha 90.00
_cell_angle_beta 90.00
_cell_angle_gamma 90.00
_space_group_name_H-M_alt 'P 4/n b m'
_space_group_IT_number 125
loop_
_space_group_symop_operation_xyz
'x,y,z'
'-x,-y,-z'
'-y+1/2,x,z'
'y+1/2,-x,-z'
'-x+1/2,-y+1/2,z'
'x+1/2,y+1/2,-z'
'y,-x+1/2,z'
'-y,x+1/2,-z'
'x,-y+1/2,-z'
'-x,y+1/2,z'
'-y+1/2,-x+1/2,-z'
'y+1/2,x+1/2,z'
'-x+1/2,y,-z'
'x+1/2,-y,z'
'y,x,-z'
'-y,-x,z'
loop_
_atom_site_label
_atom_site_type_symbol
_atom_site_fract_x
_atom_site_fract_y
_atom_site_fract_z
_atom_site_occupancy
Ac1 Ac 0.250 0.750 0.240 1
Ag1 Ag 0.250 0.750 0.000 1
Hg1 Hg 0.000 0.000 0.089 1
Hg2 Hg 0.095 0.595 0.429 1
Hg3 Hg 0.250 0.250 0.187 1
Hg4 Hg 0.250 0.250 0.353 1
```